Entry 1:
Theoretical powder X-ray diffraction pattern
Compound: GaCuAu2
Radiation: Cu Kα, 1.54184 Å
Structure: a crystal structure in Alexandria, relaxed with GGA-PBE
No peak broadening, texture or thermal motion is included.

Structure:
Lattice parameters (Å, degrees): 3.270 4.457 4.457 96.39 90.00 90.00
Fractional positions:
Ga 0.000 0.000 0.000
Cu 0.000 0.562 0.562
Au 0.500 0.054 0.500
Au 0.500 0.500 0.054

Peak list (6 most intense, 10° ≤ 2θ ≤ 80°, most intense first)
d (Å)	2θ/deg	I (rel.)
2.330	38.64	100
2.199	41.05	89
2.215	40.74	83
1.315	71.76	31
3.270	27.28	29
3.322	26.83	25


Entry 2:
Theoretical powder X-ray diffraction pattern
Compound: AcTb3B4O12
Radiation: Cu Kα, 1.54184 Å
Structure: a crystal structure in Alexandria, relaxed with GGA-PBE
No peak broadening, texture or thermal motion is included.

Structure:
Lattice parameters (Å, degrees): 6.616 6.616 6.616 102.11 102.11 102.11
Fractional positions:
Ac 0.000 0.000 0.000
Tb 0.000 0.538 0.462
Tb 0.462 0.000 0.538
Tb 0.538 0.462 0.000
B 0.040 0.500 0.960
B 0.500 0.500 0.500
B 0.500 0.960 0.040
B 0.960 0.040 0.500
O 0.027 0.626 0.817
O 0.095 0.905 0.500
O 0.183 0.374 0.973
O 0.365 0.635 0.500
O 0.374 0.973 0.183
O 0.500 0.095 0.905
O 0.500 0.365 0.635
O 0.626 0.817 0.027
O 0.635 0.500 0.365
O 0.817 0.027 0.626
O 0.905 0.500 0.095
O 0.973 0.183 0.374

Peak list (6 most intense, 10° ≤ 2θ ≤ 80°, most intense first)
d (Å)	2θ/deg	I (rel.)
3.969	22.40	100
3.118	28.63	93
1.927	47.15	34
2.573	34.87	31
1.960	46.32	24
2.159	41.84	20


Entry 3:
Theoretical powder X-ray diffraction pattern
Compound: YSc2N3
Radiation: Cu Kα, 1.54184 Å
Structure: a crystal structure in Alexandria, relaxed with GGA-PBE
No peak broadening, texture or thermal motion is included.

Structure:
Lattice parameters (Å, degrees): 5.711 5.711 5.711 146.55 131.58 60.13
Fractional positions:
Y 0.000 0.000 0.000
Sc 0.332 0.332 0.000
Sc 0.668 0.668 0.000
N 0.176 0.676 0.500
N 0.500 0.000 0.500
N 0.824 0.324 0.500

Peak list (6 most intense, 10° ≤ 2θ ≤ 80°, most intense first)
d (Å)	2θ/deg	I (rel.)
2.693	33.27	100
2.327	38.69	81
1.651	55.68	50
2.342	38.44	41
4.233	20.99	17
1.411	66.25	14


Entry 4:
Theoretical powder X-ray diffraction pattern
Compound: SnAsOsAuCl
Radiation: Cu Kα, 1.54184 Å
Structure: a crystal structure in Alexandria, relaxed with GGA-PBE
No peak broadening, texture or thermal motion is included.

Structure:
Lattice parameters (Å, degrees): 5.461 3.593 6.070 90.00 114.42 90.00
Fractional positions:
Sn 0.000 0.000 0.000
As 0.861 0.000 0.492
Os 0.058 0.500 0.354
Au 0.485 0.500 0.219
Cl 0.446 0.500 0.731

Peak list (6 most intense, 10° ≤ 2θ ≤ 80°, most intense first)
d (Å)	2θ/deg	I (rel.)
5.527	16.03	100
3.013	29.65	52
2.191	41.21	46
2.001	45.33	42
2.173	41.56	39
2.912	30.70	35


Entry 5:
Theoretical powder X-ray diffraction pattern
Compound: KSn7Se12
Radiation: Cu Kα, 1.54184 Å
Structure: a crystal structure in Alexandria, relaxed with GGA-PBE
No peak broadening, texture or thermal motion is included.

Structure:
Lattice parameters (Å, degrees): 9.072 9.072 9.072 109.47 109.47 109.47
Fractional positions:
K 0.000 0.000 0.000
Sn 0.000 0.000 0.500
Sn 0.000 0.500 0.000
Sn 0.000 0.500 0.500
Sn 0.500 0.000 0.000
Sn 0.500 0.000 0.500
Sn 0.500 0.500 0.000
Sn 0.500 0.500 0.500
Se 0.106 0.322 0.784
Se 0.216 0.538 0.322
Se 0.216 0.894 0.678
Se 0.322 0.216 0.538
Se 0.322 0.784 0.106
Se 0.462 0.678 0.784
Se 0.538 0.322 0.216
Se 0.678 0.216 0.894
Se 0.678 0.784 0.462
Se 0.784 0.106 0.322
Se 0.784 0.462 0.678
Se 0.894 0.678 0.216

Peak list (6 most intense, 10° ≤ 2θ ≤ 80°, most intense first)
d (Å)	2θ/deg	I (rel.)
2.138	42.27	100
2.619	34.24	79
3.703	24.03	72
1.400	66.84	45
3.312	26.92	44
1.234	77.29	41